# 1
The following is a theoretical XRD peak list of Li4CuSn2Hg. It was derived from a cell relaxed with GGA-PBE, using Cu Ka.
Lines closer than 0.1° are merged.

Top 10 peaks for 5° ≤ 2θ ≤ 70°, in order of rising 2θ:
| 2θ (°) | Rel. int. |
| --- | --- |
| 19.4 | 11.0 |
| 23.7 | 100.0 |
| 30.9 | 12.3 |
| 33.7 | 7.7 |
| 39.2 | 63.0 |
| 39.5 | 32.2 |
| 46.1 | 16.2 |
| 46.6 | 34.1 |
| 57.0 | 11.1 |
| 62.2 | 13.3 |

Atomic structure:
Cell lengths 4.5662, 4.5662, 6.5536 Å; angles 90.00, 90.00, 90.00 degrees
Space group P-4m2 (No. 115)
Unique sites:
Li1 0.0000 0.0000 0.0000 [1 per cell]
Li2 0.0000 0.5000 0.2344 [2 per cell]
Li3 0.5000 0.5000 0.5000 [1 per cell]
Cu1 0.5000 0.5000 0.0000 [1 per cell]
Sn1 0.0000 0.5000 0.7743 [2 per cell]
Hg1 0.0000 0.0000 0.5000 [1 per cell]

# 2
The following is a theoretical XRD peak list of Na6Sn2Au. It was derived from a cell relaxed with GGA-PBE, using Cu Ka.
Lines closer than 0.1° are merged.

Top 10 peaks for 5° ≤ 2θ ≤ 70°, in order of rising 2θ:
| 2θ (°) | Rel. int. |
| --- | --- |
| 8.8 | 38.0 |
| 19.3 | 100.0 |
| 20.0 | 46.4 |
| 33.4 | 70.2 |
| 35.5 | 39.3 |
| 38.2 | 25.0 |
| 38.9 | 17.8 |
| 49.8 | 23.1 |
| 52.1 | 15.6 |
| 61.1 | 16.3 |

Atomic structure:
Cell lengths 5.3675, 5.3675, 30.0997 Å; angles 90.00, 90.00, 120.00 degrees
Space group R-3m (No. 166, hexagonal axes)
Unique sites:
Na1 0.0000 0.0000 0.0775 [6 per cell]
Na2 0.0000 0.0000 0.1977 [6 per cell]
Na3 0.0000 0.0000 0.3068 [6 per cell]
Sn1 0.0000 0.0000 0.4117 [6 per cell]
Au1 0.0000 0.0000 0.5000 [3 per cell]

# 3
The following is a theoretical XRD peak list of Cd2TeS. It was derived from a cell relaxed with GGA-PBE, using Cu Ka.
Lines closer than 0.1° are merged.

Top 10 peaks for 5° ≤ 2θ ≤ 70°, in order of rising 2θ:
| 2θ (°) | Rel. int. |
| --- | --- |
| 23.3 | 100.0 |
| 24.7 | 45.6 |
| 26.4 | 72.0 |
| 34.2 | 63.6 |
| 41.0 | 76.2 |
| 44.5 | 70.1 |
| 48.4 | 42.0 |
| 54.4 | 16.5 |
| 62.1 | 25.1 |
| 69.6 | 15.1 |

Atomic structure:
Cell lengths 4.4050, 4.4050, 7.2205 Å; angles 90.00, 90.00, 120.00 degrees
Space group P3m1 (No. 156)
Unique sites:
Cd1 0.0000 0.0000 0.0000 [1 per cell]
Cd2 0.3333 0.6667 0.4477 [1 per cell]
Te1 0.3333 0.6667 0.8420 [1 per cell]
S1 0.0000 0.0000 0.3528 [1 per cell]

# 4
The following is a theoretical XRD peak list of Dy2TmMg3Tl2Hg. It was derived from a cell relaxed with GGA-PBE, using Cu Ka.
Lines closer than 0.1° are merged.

Top 10 peaks for 5° ≤ 2θ ≤ 70°, in order of rising 2θ:
| 2θ (°) | Rel. int. |
| --- | --- |
| 23.7 | 45.9 |
| 23.8 | 54.7 |
| 30.8 | 83.3 |
| 33.8 | 100.0 |
| 33.9 | 52.0 |
| 39.3 | 38.9 |
| 41.6 | 43.2 |
| 41.8 | 31.0 |
| 48.6 | 25.2 |
| 66.0 | 24.9 |

Atomic structure:
Cell lengths 4.5897, 12.9450, 7.5228 Å; angles 90.00, 90.00, 90.00 degrees
Space group Amm2 (No. 38)
Unique sites:
Dy1 0.0000 0.2109 0.0000 [4 per cell]
Tm1 0.0000 0.0000 0.3674 [2 per cell]
Mg1 0.5000 0.0000 0.0263 [2 per cell]
Mg2 0.5000 0.1194 0.6691 [4 per cell]
Tl1 0.5000 0.1655 0.2892 [4 per cell]
Hg1 0.0000 0.0000 0.7853 [2 per cell]

# 5
The following is a theoretical XRD peak list of Ho3ErSn2B2. It was derived from a cell relaxed with GGA-PBE, using Cu Ka.
Lines closer than 0.1° are merged.

Top 10 peaks for 5° ≤ 2θ ≤ 70°, in order of rising 2θ:
| 2θ (°) | Rel. int. |
| --- | --- |
| 28.4 | 22.9 |
| 32.7 | 20.1 |
| 32.9 | 100.0 |
| 43.9 | 15.1 |
| 48.4 | 3.4 |
| 50.3 | 21.6 |
| 58.5 | 16.2 |
| 58.7 | 3.1 |
| 61.3 | 37.5 |
| 68.9 | 4.0 |

Atomic structure:
Cell lengths 3.6304, 3.6304, 16.4121 Å; angles 90.00, 90.00, 120.00 degrees
Space group P3m1 (No. 156)
Unique sites:
Ho1 0.0000 0.0000 0.0000 [1 per cell]
Ho2 0.0000 0.0000 0.3148 [1 per cell]
Ho3 0.3333 0.6667 0.5008 [1 per cell]
Er1 0.3333 0.6667 0.8150 [1 per cell]
Sn1 0.0000 0.0000 0.6584 [1 per cell]
Sn2 0.3333 0.6667 0.1575 [1 per cell]
B1 0.6667 0.3333 0.4078 [1 per cell]
B2 0.6667 0.3333 0.9071 [1 per cell]

# 6
The following is a theoretical XRD peak list of RbNd2Cu3Se4S. It was derived from a cell relaxed with GGA-PBE, using Cu Ka.
Lines closer than 0.1° are merged.

Top 10 peaks for 5° ≤ 2θ ≤ 70°, in order of rising 2θ:
| 2θ (°) | Rel. int. |
| --- | --- |
| 10.1 | 86.5 |
| 28.1 | 98.7 |
| 28.6 | 78.7 |
| 29.9 | 83.8 |
| 30.7 | 82.0 |
| 34.9 | 100.0 |
| 37.4 | 50.4 |
| 38.9 | 51.1 |
| 43.4 | 78.5 |
| 46.2 | 69.2 |

Atomic structure:
Cell lengths 4.1656, 14.7055, 17.4907 Å; angles 90.00, 90.00, 90.00 degrees
Space group Cmcm (No. 63)
Unique sites:
Rb1 0.0000 0.0663 0.2500 [4 per cell]
Nd1 0.0000 0.1922 0.5938 [8 per cell]
Cu1 0.0000 0.3338 0.2500 [4 per cell]
Cu2 0.0000 0.4152 0.5271 [8 per cell]
Se1 0.0000 0.1619 0.0721 [8 per cell]
Se2 0.0000 0.4452 0.1150 [8 per cell]
S1 0.0000 0.2317 0.7500 [4 per cell]

# 7
The following is a theoretical XRD peak list of Zr3AgSb5. It was derived from a cell relaxed with GGA-PBE, using Cu Ka.
Lines closer than 0.1° are merged.

Top 10 peaks for 5° ≤ 2θ ≤ 70°, in order of rising 2θ:
| 2θ (°) | Rel. int. |
| --- | --- |
| 28.4 | 100.0 |
| 29.4 | 48.7 |
| 31.0 | 27.1 |
| 35.2 | 40.6 |
| 36.7 | 22.0 |
| 40.4 | 17.5 |
| 41.3 | 89.0 |
| 50.3 | 20.1 |
| 50.9 | 20.5 |
| 58.8 | 31.6 |

Atomic structure:
Cell lengths 6.2835, 6.2835, 7.3375 Å; angles 90.00, 90.00, 120.00 degrees
Space group P6/mmm (No. 191)
Unique sites:
Zr1 0.0000 0.5000 0.0000 [3 per cell]
Ag1 0.0000 0.0000 0.5000 [1 per cell]
Sb1 0.0000 0.0000 0.0000 [1 per cell]
Sb2 0.3333 0.6667 0.3077 [4 per cell]

# 8
The following is a theoretical XRD peak list of Y2SiGeAu2. It was derived from a cell relaxed with GGA-PBE, using Cu Ka.
Lines closer than 0.1° are merged.

Top 8 peaks for 5° ≤ 2θ ≤ 70°, in order of rising 2θ:
| 2θ (°) | Rel. int. |
| --- | --- |
| 23.7 | 84.9 |
| 27.4 | 3.0 |
| 39.2 | 100.0 |
| 46.3 | 44.0 |
| 48.5 | 1.1 |
| 56.6 | 16.9 |
| 62.2 | 18.2 |
| 64.0 | 1.5 |

Atomic structure:
Cell lengths 11.2642, 4.6014, 11.2676 Å; angles 90.00, 109.46, 90.00 degrees
Space group Pm (No. 6)
Unique sites:
Y1 0.0000 0.0000 0.0000 [1 per cell]
Y2 0.1209 0.5000 0.3709 [1 per cell]
Y3 0.2475 0.0000 0.7461 [1 per cell]
Y4 0.3752 0.5000 0.1249 [1 per cell]
Y5 0.5004 0.0000 0.5015 [1 per cell]
Y6 0.6232 0.5000 0.8744 [1 per cell]
Y7 0.7453 0.0000 0.2503 [1 per cell]
Y8 0.8740 0.5000 0.6280 [1 per cell]
Si1 0.4983 0.0000 0.9990 [1 per cell]
Si2 0.7490 0.0000 0.7510 [1 per cell]
Si3 0.8723 0.5000 0.1243 [1 per cell]
Si4 0.9974 0.0000 0.4986 [1 per cell]
Ge1 0.1241 0.5000 0.8740 [1 per cell]
Ge2 0.2482 0.0000 0.2491 [1 per cell]
Ge3 0.3729 0.5000 0.6241 [1 per cell]
Ge4 0.6240 0.5000 0.3757 [1 per cell]
Au1 0.1187 0.5000 0.6186 [1 per cell]
Au2 0.2534 0.0000 0.9981 [1 per cell]
Au3 0.3735 0.5000 0.3752 [1 per cell]
Au4 0.5015 0.0000 0.7533 [1 per cell]
Au5 0.6240 0.5000 0.1210 [1 per cell]
Au6 0.7533 0.0000 0.5047 [1 per cell]
Au7 0.8709 0.5000 0.8772 [1 per cell]
Au8 0.9920 0.0000 0.2481 [1 per cell]

# 9
The following is a theoretical XRD peak list of Fe2BiAs. It was derived from a cell relaxed with GGA-PBE, using Cu Ka.
Lines closer than 0.1° are merged.

Top 10 peaks for 5° ≤ 2θ ≤ 70°, in order of rising 2θ:
| 2θ (°) | Rel. int. |
| --- | --- |
| 13.7 | 4.8 |
| 23.8 | 7.2 |
| 27.6 | 28.1 |
| 30.9 | 21.5 |
| 39.4 | 100.0 |
| 41.9 | 8.2 |
| 48.8 | 10.8 |
| 56.9 | 14.8 |
| 58.9 | 7.9 |
| 64.4 | 17.7 |

Atomic structure:
Cell lengths 6.4700, 6.4700, 6.4700 Å; angles 90.00, 90.00, 90.00 degrees
Space group Pm-3m (No. 221)
Unique sites:
Fe1 0.2119 0.2119 0.2119 [8 per cell]
Bi1 0.0000 0.5000 0.5000 [3 per cell]
Bi2 0.5000 0.5000 0.5000 [1 per cell]
As1 0.0000 0.0000 0.0000 [1 per cell]
As2 0.0000 0.0000 0.5000 [3 per cell]

# 10
The following is a theoretical XRD peak list of Zn3Ga. It was derived from a cell relaxed with GGA-PBE, using Cu Ka.
Lines closer than 0.1° are merged.

Top 8 peaks for 5° ≤ 2θ ≤ 70°, in order of rising 2θ:
| 2θ (°) | Rel. int. |
| --- | --- |
| 37.7 | 100.0 |
| 41.0 | 79.0 |
| 44.8 | 29.9 |
| 45.4 | 29.3 |
| 47.1 | 26.1 |
| 62.4 | 10.5 |
| 65.7 | 18.0 |
| 67.4 | 16.7 |

Atomic structure:
Cell lengths 5.2863, 3.9995, 5.9560 Å; angles 90.00, 92.65, 90.00 degrees
Space group P2_1/m (No. 11)
Unique sites:
Zn1 0.1181 0.2500 0.1309 [2 per cell]
Zn2 0.1254 0.2500 0.6192 [2 per cell]
Zn3 0.3704 0.7500 0.3781 [2 per cell]
Ga1 0.3780 0.7500 0.8667 [2 per cell]

# 11
The following is a theoretical XRD peak list of Lu4Ni3W2C3. It was derived from a cell relaxed with GGA-PBE, using Cu Ka.
Lines closer than 0.1° are merged.

Top 10 peaks for 5° ≤ 2θ ≤ 70°, in order of rising 2θ:
| 2θ (°) | Rel. int. |
| --- | --- |
| 12.4 | 56.0 |
| 24.9 | 23.6 |
| 31.9 | 36.8 |
| 32.4 | 30.6 |
| 32.9 | 38.3 |
| 36.3 | 95.3 |
| 37.1 | 100.0 |
| 37.8 | 55.9 |
| 38.1 | 85.9 |
| 56.7 | 29.9 |

Atomic structure:
Cell lengths 9.7226, 5.6355, 14.4790 Å; angles 90.00, 99.33, 90.00 degrees
Space group C2/c (No. 15)
Unique sites:
Lu1 0.1095 0.0682 0.0992 [8 per cell]
Lu2 0.2169 0.0894 0.4003 [8 per cell]
Ni1 0.0000 0.0535 0.2500 [4 per cell]
Ni2 0.2357 0.3428 0.2495 [8 per cell]
W1 0.0764 0.4082 0.9279 [8 per cell]
C1 0.0749 0.2760 0.5007 [8 per cell]
C2 0.2500 0.2500 0.0000 [4 per cell]